SbPt3: simulated PXRD pattern (copper Kα), based on the PBE geometry in the Materials Project.
Neutral-atom scattering factors, no anomalous dispersion.

Main lines, by angle (5° ≤ 2θ ≤ 70°):
2θ 36.38, intensity 31
2θ 36.48, intensity 23
2θ 40.95, intensity 100
2θ 52.48, intensity 18
2θ 65.67, intensity 17
2θ 68.57, intensity 22

Structure:
```
data_SbPt3
_space_group_name_H-M_alt 'P 1'
_space_group_IT_number 1
_cell_length_a 5.6874
_cell_length_b 5.6874
_cell_length_c 4.9388
_cell_angle_alpha 90.00
_cell_angle_beta 90.00
_cell_angle_gamma 120.00
loop_
_space_group_symop_operation_xyz
'x,y,z'
loop_
_atom_site_label
_atom_site_fract_x
_atom_site_fract_y
_atom_site_fract_z
Sb1 0.3333 0.6667 0.2500
Sb2 0.6667 0.3333 0.7500
Pt1 0.1653 0.3306 0.7500
Pt2 0.1653 0.8347 0.7500
Pt3 0.3306 0.1653 0.2500
Pt4 0.6694 0.8347 0.7500
Pt5 0.8347 0.1653 0.2500
Pt6 0.8347 0.6694 0.2500
```

ScBi: simulated PXRD pattern (copper Kα), based on the PBE geometry in the Materials Project.
Neutral-atom scattering factors, no anomalous dispersion.

Main lines, by angle (5° ≤ 2θ ≤ 70°):
2θ 25.56, intensity 77
2θ 29.59, intensity 100
2θ 42.35, intensity 76
2θ 50.12, intensity 41
2θ 52.51, intensity 27
2θ 69.65, intensity 35

Structure:
```
data_ScBi
_space_group_name_H-M_alt 'P 1'
_space_group_IT_number 1
_cell_length_a 6.0370
_cell_length_b 6.0370
_cell_length_c 6.0370
_cell_angle_alpha 90.00
_cell_angle_beta 90.00
_cell_angle_gamma 90.00
loop_
_space_group_symop_operation_xyz
'x,y,z'
loop_
_atom_site_label
_atom_site_fract_x
_atom_site_fract_y
_atom_site_fract_z
Sc1 0.0000 0.0000 0.0000
Sc2 0.0000 0.5000 0.5000
Sc3 0.5000 0.0000 0.5000
Sc4 0.5000 0.5000 0.0000
Bi1 0.0000 0.0000 0.5000
Bi2 0.0000 0.5000 0.0000
Bi3 0.5000 0.0000 0.0000
Bi4 0.5000 0.5000 0.5000
```

TiVFe: simulated PXRD pattern (copper Kα), based on the PBE geometry in the Materials Project.
Neutral-atom scattering factors, no anomalous dispersion.

Main lines, by angle (5° ≤ 2θ ≤ 70°):
2θ 36.03, intensity 25
2θ 41.42, intensity 42
2θ 43.48, intensity 100
2θ 43.63, intensity 47
2θ 48.03, intensity 14
2θ 48.54, intensity 18

Structure:
```
data_TiVFe
_space_group_name_H-M_alt 'P 1'
_space_group_IT_number 1
_cell_length_a 7.5770
_cell_length_b 4.9886
_cell_length_c 4.9886
_cell_angle_alpha 59.85
_cell_angle_beta 90.00
_cell_angle_gamma 90.00
loop_
_space_group_symop_operation_xyz
'x,y,z'
loop_
_atom_site_label
_atom_site_fract_x
_atom_site_fract_y
_atom_site_fract_z
Ti1 0.0000 0.0000 0.0000
Ti2 0.0000 0.4954 0.9980
Ti3 0.0000 0.9980 0.4954
Ti4 0.5000 0.6693 0.6693
V1 0.2043 0.4916 0.4916
V2 0.3238 0.1697 0.1697
V3 0.6762 0.1697 0.1697
V4 0.7957 0.4916 0.4916
Fe1 0.2550 0.8416 0.8416
Fe2 0.5000 0.1803 0.6702
Fe3 0.5000 0.6702 0.1803
Fe4 0.7450 0.8416 0.8416
```

Nd6Al5Fe9: simulated PXRD pattern (copper Kα), based on the PBE geometry in the Materials Project.
Neutral-atom scattering factors, no anomalous dispersion.

Main lines, by angle (5° ≤ 2θ ≤ 70°):
2θ 26.99, intensity 92
2θ 31.07, intensity 100
2θ 34.80, intensity 74
2θ 36.44, intensity 44
2θ 37.82, intensity 61
2θ 46.07, intensity 42

Structure:
```
data_Nd6Al5Fe9
_space_group_name_H-M_alt 'P 1'
_space_group_IT_number 1
_cell_length_a 13.0576
_cell_length_b 13.0576
_cell_length_c 13.0576
_cell_angle_alpha 143.62
_cell_angle_beta 143.62
_cell_angle_gamma 52.39
loop_
_space_group_symop_operation_xyz
'x,y,z'
loop_
_atom_site_label
_atom_site_fract_x
_atom_site_fract_y
_atom_site_fract_z
Nd1 0.0235 0.5235 0.1666
Nd2 0.1059 0.1059 0.0000
Nd3 0.1430 0.9765 0.5000
Nd4 0.3570 0.8570 0.8334
Nd5 0.3941 0.3941 0.0000
Nd6 0.4765 0.6430 0.5000
Nd7 0.5235 0.3570 0.5000
Nd8 0.6059 0.6059 0.0000
Nd9 0.6430 0.1430 0.1666
Nd10 0.8570 0.0235 0.5000
Nd11 0.8941 0.8941 0.0000
Nd12 0.9765 0.4765 0.8334
Al1 0.0255 0.2872 0.5000
Al2 0.2128 0.4745 0.5000
Al3 0.2500 0.2500 0.0000
Al4 0.2872 0.7872 0.2618
Al5 0.4745 0.9745 0.2618
Al6 0.5255 0.0255 0.7382
Al7 0.7128 0.2128 0.7382
Al8 0.7500 0.7500 0.0000
Al9 0.7872 0.5255 0.5000
Al10 0.9745 0.7128 0.5000
Fe1 0.0000 0.5000 0.5000
Fe2 0.0683 0.2113 0.2796
Fe3 0.1190 0.6190 0.8519
Fe4 0.2113 0.9317 0.1430
Fe5 0.2329 0.7329 0.8519
Fe6 0.2671 0.1190 0.5000
Fe7 0.2887 0.4317 0.7204
Fe8 0.3810 0.2329 0.5000
Fe9 0.4317 0.7113 0.1430
Fe10 0.5000 0.0000 0.5000
Fe11 0.5683 0.2887 0.8570
Fe12 0.6190 0.7671 0.5000
Fe13 0.7113 0.5683 0.2796
Fe14 0.7329 0.8810 0.5000
Fe15 0.7671 0.2671 0.1481
Fe16 0.7887 0.0683 0.8570
Fe17 0.8810 0.3810 0.1481
Fe18 0.9317 0.7887 0.7204
```

Ba2Si3GeO10: simulated PXRD pattern (copper Kα), based on the PBE geometry in the Materials Project.
Neutral-atom scattering factors, no anomalous dispersion.

Main lines, by angle (5° ≤ 2θ ≤ 70°):
2θ 21.88, intensity 100
2θ 25.42, intensity 39
2θ 26.03, intensity 73
2θ 28.15, intensity 52
2θ 32.26, intensity 43
2θ 41.43, intensity 45

Structure:
```
data_Ba2Si3GeO10
_space_group_name_H-M_alt 'P 1'
_space_group_IT_number 1
_cell_length_a 4.7411
_cell_length_b 13.8549
_cell_length_c 7.8740
_cell_angle_alpha 90.00
_cell_angle_beta 90.02
_cell_angle_gamma 90.00
loop_
_space_group_symop_operation_xyz
'x,y,z'
loop_
_atom_site_label
_atom_site_fract_x
_atom_site_fract_y
_atom_site_fract_z
Ba1 0.0296 0.0000 0.0053
Ba2 0.4649 0.9125 0.5006
Ba3 0.5351 0.4125 0.4994
Ba4 0.9704 0.5000 0.9947
Si1 0.1037 0.2769 0.8003
Si2 0.1047 0.2741 0.2037
Si3 0.3950 0.6407 0.7086
Si4 0.6050 0.1407 0.2914
Si5 0.8953 0.7741 0.7963
Si6 0.8963 0.7769 0.1997
Ge1 0.3995 0.6398 0.2937
Ge2 0.6005 0.1398 0.7063
O1 0.0099 0.8688 0.7053
O2 0.0223 0.8710 0.2876
O3 0.0745 0.6741 0.1968
O4 0.0973 0.6765 0.7993
O5 0.1751 0.2997 0.0022
O6 0.3175 0.6127 0.5093
O7 0.4034 0.2383 0.2939
O8 0.4047 0.2495 0.7032
O9 0.4824 0.0355 0.7969
O10 0.4884 0.0457 0.2012
O11 0.5116 0.5457 0.7988
O12 0.5176 0.5355 0.2031
O13 0.5953 0.7495 0.2968
O14 0.5966 0.7383 0.7061
O15 0.6825 0.1127 0.4907
O16 0.8249 0.7997 0.9978
O17 0.9027 0.1765 0.2007
O18 0.9255 0.1741 0.8032
O19 0.9777 0.3710 0.7124
O20 0.9901 0.3688 0.2947
```

K2LiYCl6: simulated PXRD pattern (copper Kα), based on the PBE geometry in the Materials Project.
Neutral-atom scattering factors, no anomalous dispersion.

Main lines, by angle (5° ≤ 2θ ≤ 70°):
2θ 14.75, intensity 47
2θ 24.20, intensity 37
2θ 28.46, intensity 33
2θ 29.75, intensity 55
2θ 34.49, intensity 100
2θ 49.57, intensity 63

Structure:
```
data_K2LiYCl6
_space_group_name_H-M_alt 'P 1'
_space_group_IT_number 1
_cell_length_a 7.3557
_cell_length_b 7.3557
_cell_length_c 7.3557
_cell_angle_alpha 60.00
_cell_angle_beta 60.00
_cell_angle_gamma 60.00
loop_
_space_group_symop_operation_xyz
'x,y,z'
loop_
_atom_site_label
_atom_site_fract_x
_atom_site_fract_y
_atom_site_fract_z
K1 0.2500 0.2500 0.2500
K2 0.7500 0.7500 0.7500
Li1 0.0000 0.0000 0.0000
Y1 0.5000 0.5000 0.5000
Cl1 0.2470 0.2470 0.7530
Cl2 0.2470 0.7530 0.2470
Cl3 0.2470 0.7530 0.7530
Cl4 0.7530 0.2470 0.2470
Cl5 0.7530 0.2470 0.7530
Cl6 0.7530 0.7530 0.2470
```

AlPO4: simulated PXRD pattern (copper Kα), based on the PBE geometry in the Materials Project.
Neutral-atom scattering factors, no anomalous dispersion.

Main lines, by angle (5° ≤ 2θ ≤ 70°):
2θ 11.06, intensity 100
2θ 18.11, intensity 13
2θ 21.27, intensity 35
2θ 25.72, intensity 15
2θ 28.82, intensity 14
2θ 36.69, intensity 8

Structure:
```
data_AlPO4
_space_group_name_H-M_alt 'P 1'
_space_group_IT_number 1
_cell_length_a 9.7976
_cell_length_b 9.7976
_cell_length_c 9.7976
_cell_angle_alpha 60.00
_cell_angle_beta 60.00
_cell_angle_gamma 60.00
loop_
_space_group_symop_operation_xyz
'x,y,z'
loop_
_atom_site_label
_atom_site_fract_x
_atom_site_fract_y
_atom_site_fract_z
Al1 0.0000 0.0000 0.0000
Al2 0.0918 0.6361 0.6361
Al3 0.6361 0.0918 0.6361
Al4 0.6361 0.6361 0.0918
Al5 0.6361 0.6361 0.6361
P1 0.4058 0.8647 0.8647
P2 0.5000 0.5000 0.5000
P3 0.8647 0.4058 0.8647
P4 0.8647 0.8647 0.4058
P5 0.8647 0.8647 0.8647
O1 0.0160 0.4677 0.7582
O2 0.0160 0.7582 0.4677
O3 0.0160 0.7582 0.7582
O4 0.2162 0.9279 0.9279
O5 0.3086 0.5638 0.5638
O6 0.4677 0.0160 0.7582
O7 0.4677 0.7582 0.0160
O8 0.4677 0.7582 0.7582
O9 0.5638 0.3086 0.5638
O10 0.5638 0.5638 0.3086
O11 0.5638 0.5638 0.5638
O12 0.7582 0.0160 0.4677
O13 0.7582 0.0160 0.7582
O14 0.7582 0.4677 0.0160
O15 0.7582 0.4677 0.7582
O16 0.7582 0.7582 0.0160
O17 0.7582 0.7582 0.4677
O18 0.9279 0.2162 0.9279
O19 0.9279 0.9279 0.2162
O20 0.9279 0.9279 0.9279
```

Mg6CuBi: simulated PXRD pattern (copper Kα), based on the PBE geometry in the Materials Project.
Neutral-atom scattering factors, no anomalous dispersion.

Main lines, by angle (5° ≤ 2θ ≤ 70°):
2θ 15.88, intensity 40
2θ 16.24, intensity 59
2θ 17.79, intensity 48
2θ 24.18, intensity 48
2θ 36.92, intensity 100
2θ 37.58, intensity 46

Structure:
```
data_Mg6CuBi
_space_group_name_H-M_alt 'P 1'
_space_group_IT_number 1
_cell_length_a 4.9849
_cell_length_b 6.4916
_cell_length_c 10.9149
_cell_angle_alpha 90.00
_cell_angle_beta 90.00
_cell_angle_gamma 90.00
loop_
_space_group_symop_operation_xyz
'x,y,z'
loop_
_atom_site_label
_atom_site_fract_x
_atom_site_fract_y
_atom_site_fract_z
Mg1 0.0000 0.0000 0.0000
Mg2 0.0000 0.0000 0.4884
Mg3 0.0000 0.2291 0.2440
Mg4 0.0000 0.2709 0.7440
Mg5 0.0000 0.5000 0.5000
Mg6 0.0000 0.5000 0.9884
Mg7 0.0000 0.7291 0.7440
Mg8 0.0000 0.7709 0.2440
Mg9 0.5000 0.2483 0.9133
Mg10 0.5000 0.2517 0.4133
Mg11 0.5000 0.7483 0.4133
Mg12 0.5000 0.7517 0.9133
Cu1 0.5000 0.0000 0.1649
Cu2 0.5000 0.5000 0.6649
Bi1 0.5000 0.0000 0.6630
Bi2 0.5000 0.5000 0.1630
```

BaMg14ZnO16: simulated PXRD pattern (copper Kα), based on the PBE geometry in the Materials Project.
Neutral-atom scattering factors, no anomalous dispersion.

Main lines, by angle (5° ≤ 2θ ≤ 70°):
2θ 14.35, intensity 36
2θ 35.22, intensity 44
2θ 39.93, intensity 58
2θ 41.36, intensity 100
2θ 58.84, intensity 62
2θ 59.93, intensity 28

Structure:
```
data_BaMg14ZnO16
_space_group_name_H-M_alt 'P 1'
_space_group_IT_number 1
_cell_length_a 8.7310
_cell_length_b 8.7310
_cell_length_c 4.5159
_cell_angle_alpha 90.00
_cell_angle_beta 90.00
_cell_angle_gamma 90.00
loop_
_space_group_symop_operation_xyz
'x,y,z'
loop_
_atom_site_label
_atom_site_fract_x
_atom_site_fract_y
_atom_site_fract_z
Ba1 0.0000 0.0000 0.0000
Mg1 0.0000 0.2638 0.5000
Mg2 0.0000 0.5000 0.0000
Mg3 0.0000 0.7362 0.5000
Mg4 0.2522 0.5000 0.5000
Mg5 0.2583 0.2583 0.0000
Mg6 0.2583 0.7417 0.0000
Mg7 0.2638 0.0000 0.5000
Mg8 0.5000 0.0000 0.0000
Mg9 0.5000 0.2522 0.5000
Mg10 0.5000 0.7478 0.5000
Mg11 0.7362 0.0000 0.5000
Mg12 0.7417 0.2583 0.0000
Mg13 0.7417 0.7417 0.0000
Mg14 0.7478 0.5000 0.5000
Zn1 0.5000 0.5000 0.0000
O1 0.0000 0.0000 0.5000
O2 0.0000 0.2806 0.0000
O3 0.0000 0.5000 0.5000
O4 0.0000 0.7194 0.0000
O5 0.2500 0.2500 0.5000
O6 0.2500 0.7500 0.5000
O7 0.2537 0.5000 0.0000
O8 0.2806 0.0000 0.0000
O9 0.5000 0.0000 0.5000
O10 0.5000 0.2537 0.0000
O11 0.5000 0.5000 0.5000
O12 0.5000 0.7463 0.0000
O13 0.7194 0.0000 0.0000
O14 0.7463 0.5000 0.0000
O15 0.7500 0.2500 0.5000
O16 0.7500 0.7500 0.5000
```

KHo2F7: simulated PXRD pattern (copper Kα), based on the PBE geometry in the Materials Project.
Neutral-atom scattering factors, no anomalous dispersion.

Main lines, by angle (5° ≤ 2θ ≤ 70°):
2θ 26.58, intensity 52
2θ 26.83, intensity 100
2θ 27.27, intensity 45
2θ 31.53, intensity 44
2θ 43.87, intensity 36
2θ 44.76, intensity 37

Structure:
```
data_KHo2F7
_space_group_name_H-M_alt 'P 1'
_space_group_IT_number 1
_cell_length_a 8.2617
_cell_length_b 8.2617
_cell_length_c 12.0116
_cell_angle_alpha 120.25
_cell_angle_beta 120.25
_cell_angle_gamma 58.29
loop_
_space_group_symop_operation_xyz
'x,y,z'
loop_
_atom_site_label
_atom_site_fract_x
_atom_site_fract_y
_atom_site_fract_z
K1 0.0000 0.0000 0.0000
K2 0.0251 0.0251 0.3692
K3 0.5014 0.5014 0.3297
K4 0.5327 0.5327 0.6935
Ho1 0.0001 0.5252 0.6671
Ho2 0.0031 0.5280 0.0290
Ho3 0.0046 0.0046 0.6685
Ho4 0.0214 0.5028 0.3464
Ho5 0.5028 0.0214 0.3464
Ho6 0.5222 0.5222 0.0255
Ho7 0.5252 0.0001 0.6671
Ho8 0.5280 0.0031 0.0290
F1 0.0949 0.6318 0.2627
F2 0.1197 0.6415 0.5832
F3 0.1578 0.1578 0.2711
F4 0.2571 0.2571 0.6179
F5 0.2603 0.5944 0.8477
F6 0.2624 0.9180 0.6090
F7 0.2661 0.2661 0.0847
F8 0.2668 0.6026 0.0857
F9 0.2684 0.9361 0.8468
F10 0.3664 0.3664 0.4175
F11 0.4112 0.8784 0.1100
F12 0.4238 0.9010 0.4326
F13 0.5855 0.9448 0.8483
F14 0.5944 0.2603 0.8477
F15 0.6026 0.2668 0.0857
F16 0.6318 0.0949 0.2627
F17 0.6415 0.1197 0.5832
F18 0.6511 0.6511 0.9659
F19 0.6562 0.6562 0.2609
F20 0.6617 0.6617 0.5986
F21 0.8673 0.8673 0.0962
F22 0.8670 0.8670 0.4357
F23 0.8784 0.4112 0.1100
F24 0.8775 0.8775 0.7279
F25 0.9010 0.4238 0.4326
F26 0.9180 0.2624 0.6090
F27 0.9361 0.2684 0.8468
F28 0.9448 0.5855 0.8483
```

What did the ninth record say?
BaMg14ZnO16: simulated PXRD pattern (copper Kα), based on the PBE geometry in the Materials Project.
Neutral-atom scattering factors, no anomalous dispersion.

Main lines, by angle (5° ≤ 2θ ≤ 70°):
2θ 14.35, intensity 36
2θ 35.22, intensity 44
2θ 39.93, intensity 58
2θ 41.36, intensity 100
2θ 58.84, intensity 62
2θ 59.93, intensity 28

Structure:
```
data_BaMg14ZnO16
_space_group_name_H-M_alt 'P 1'
_space_group_IT_number 1
_cell_length_a 8.7310
_cell_length_b 8.7310
_cell_length_c 4.5159
_cell_angle_alpha 90.00
_cell_angle_beta 90.00
_cell_angle_gamma 90.00
loop_
_space_group_symop_operation_xyz
'x,y,z'
loop_
_atom_site_label
_atom_site_fract_x
_atom_site_fract_y
_atom_site_fract_z
Ba1 0.0000 0.0000 0.0000
Mg1 0.0000 0.2638 0.5000
Mg2 0.0000 0.5000 0.0000
Mg3 0.0000 0.7362 0.5000
Mg4 0.2522 0.5000 0.5000
Mg5 0.2583 0.2583 0.0000
Mg6 0.2583 0.7417 0.0000
Mg7 0.2638 0.0000 0.5000
Mg8 0.5000 0.0000 0.0000
Mg9 0.5000 0.2522 0.5000
Mg10 0.5000 0.7478 0.5000
Mg11 0.7362 0.0000 0.5000
Mg12 0.7417 0.2583 0.0000
Mg13 0.7417 0.7417 0.0000
Mg14 0.7478 0.5000 0.5000
Zn1 0.5000 0.5000 0.0000
O1 0.0000 0.0000 0.5000
O2 0.0000 0.2806 0.0000
O3 0.0000 0.5000 0.5000
O4 0.0000 0.7194 0.0000
O5 0.2500 0.2500 0.5000
O6 0.2500 0.7500 0.5000
O7 0.2537 0.5000 0.0000
O8 0.2806 0.0000 0.0000
O9 0.5000 0.0000 0.5000
O10 0.5000 0.2537 0.0000
O11 0.5000 0.5000 0.5000
O12 0.5000 0.7463 0.0000
O13 0.7194 0.0000 0.0000
O14 0.7463 0.5000 0.0000
O15 0.7500 0.2500 0.5000
O16 0.7500 0.7500 0.5000
```